# RbVPbSe4
Calculated powder XRD pattern, CuKα. Input: the PBE geometry in Alexandria.

Main lines, most intense first (2θ = 10–80°):
(2 0 -2), d 3.179, I = 100
(2 2 0), d 2.463, I = 69
(1 0 2), d 3.294, I = 59
(1 2 -2), d 2.776, I = 48
(1 1 2), d 2.996, I = 45
(0 2 2), d 2.800, I = 43
(0 2 0), d 3.604, I = 43
(2 1 -2), d 2.909, I = 40
(0 1 1), d 5.601, I = 33
(3 1 0), d 2.148, I = 30

Unit cell a=7.0653 b=7.2080 c=9.3137 alpha=90.00 beta=107.19 gamma=90.00
Fractional positions:
Rb 0.2319 0.2500 0.4301
Rb 0.7681 0.7500 0.5699
V 0.3000 0.7500 0.1837
V 0.7000 0.2500 0.8163
Pb 0.2480 0.2500 0.9355
Pb 0.7520 0.7500 0.0645
Se 0.1032 0.7500 0.9407
Se 0.1073 0.7500 0.3442
Se 0.4918 0.5019 0.7815
Se 0.4918 0.9981 0.7815
Se 0.5082 0.0019 0.2185
Se 0.5082 0.4981 0.2185
Se 0.8927 0.2500 0.6558
Se 0.8968 0.2500 0.0593